# 1
Computed powder diffraction line list
Compound: Ca8Ti3Mn5O22
Radiation: CuKα
Structure: DFT lattice parameters and positions (GGA+U)

The 10 most intense peaks (5 to 70 degrees two-theta), in order of rising 2θ:
| 2theta | d [Å] | I_rel | index |
| --- | --- | --- | --- |
| 32.3 | 2.773 | 100 | 0 2 2 |
| 32.4 | 2.762 | 94 | 2 0 2 |
| 32.9 | 2.726 | 77 | 2 2 0 |
| 45.6 | 1.988 | 28 | 0 0 4 |
| 47.0 | 1.935 | 42 | 0 4 0 |
| 47.4 | 1.920 | 42 | 4 0 0 |
| 57.4 | 1.606 | 37 | 2 2 4 |
| 58.2 | 1.585 | 29 | 2 4 2 |
| 58.5 | 1.578 | 30 | 4 2 2 |
| 68.9 | 1.363 | 24 | 4 4 0 |

Cell and atoms:
Lattice parameters (Å, degrees): 7.679 7.740 7.951 90.00 90.00 90.00
Space group Pmm2 (No. 25)
Asymmetric unit:
Ca (0.231, 0.234, 0.000) x4
Ca (0.244, 0.264, 0.512) x4
Ti (0.500, 0.000, 0.288) x1
Ti (0.500, 0.000, 0.762) x1
Ti (0.500, 0.500, 0.276) x1
Mn (0.000, 0.000, 0.243) x1
Mn (0.000, 0.000, 0.748) x1
Mn (0.000, 0.500, 0.278) x1
Mn (0.000, 0.500, 0.766) x1
Mn (0.500, 0.500, 0.809) x1
O (0.000, 0.000, 0.493) x1
O (0.000, 0.000, 0.993) x1
O (0.000, 0.253, 0.768) x2
O (0.000, 0.259, 0.224) x2
O (0.000, 0.500, 0.526) x1
O (0.241, 0.500, 0.828) x2
O (0.247, 0.500, 0.298) x2
O (0.248, 0.000, 0.748) x2
O (0.288, 0.000, 0.184) x2
O (0.500, 0.000, 0.527) x1
O (0.500, 0.211, 0.869) x2
O (0.500, 0.252, 0.323) x2
O (0.500, 0.500, 0.053) x1
O (0.500, 0.500, 0.571) x1

# 2
Computed powder diffraction line list
Compound: AlV2O4
Radiation: CuKα
Structure: DFT lattice parameters and positions (GGA+U)

The 10 most intense peaks (5 to 70 degrees two-theta), in order of rising 2θ:
| 2theta | d [Å] | I_rel | index |
| --- | --- | --- | --- |
| 18.4 | 4.811 | 51 | 1 0 1 |
| 18.9 | 4.700 | 18 | 0 0 3 |
| 35.7 | 2.518 | 48 | 0 2 1 |
| 35.9 | 2.502 | 92 | 1 1 3 |
| 36.4 | 2.470 | 48 | 0 1 5 |
| 43.7 | 2.071 | 100 | 0 2 4 |
| 57.5 | 1.604 | 21 | 3 0 3 |
| 57.8 | 1.595 | 21 | 1 2 5 |
| 62.9 | 1.477 | 56 | 2 2 0 |
| 64.2 | 1.452 | 52 | 2 0 8 |

Cell and atoms:
Lattice parameters (Å, degrees): 5.9096 5.9096 14.1002 90.00 90.00 120.00
Space group R-3m (No. 166, hexagonal axes)
Asymmetric unit:
Al (0.0000, 0.0000, 0.1234) x6
V (0.0000, 0.0000, 0.5000) x3
V (0.0000, 0.5000, 0.0000) x9
O (0.0000, 0.0000, 0.2511) x6
O (0.0039, 0.5020, 0.7497) x18

Please write out number 1 again, unchanged.
Computed powder diffraction line list
Compound: Ca8Ti3Mn5O22
Radiation: CuKα
Structure: DFT lattice parameters and positions (GGA+U)

The 10 most intense peaks (5 to 70 degrees two-theta), in order of rising 2θ:
| 2theta | d [Å] | I_rel | index |
| --- | --- | --- | --- |
| 32.3 | 2.773 | 100 | 0 2 2 |
| 32.4 | 2.762 | 94 | 2 0 2 |
| 32.9 | 2.726 | 77 | 2 2 0 |
| 45.6 | 1.988 | 28 | 0 0 4 |
| 47.0 | 1.935 | 42 | 0 4 0 |
| 47.4 | 1.920 | 42 | 4 0 0 |
| 57.4 | 1.606 | 37 | 2 2 4 |
| 58.2 | 1.585 | 29 | 2 4 2 |
| 58.5 | 1.578 | 30 | 4 2 2 |
| 68.9 | 1.363 | 24 | 4 4 0 |

Cell and atoms:
Lattice parameters (Å, degrees): 7.679 7.740 7.951 90.00 90.00 90.00
Space group Pmm2 (No. 25)
Asymmetric unit:
Ca (0.231, 0.234, 0.000) x4
Ca (0.244, 0.264, 0.512) x4
Ti (0.500, 0.000, 0.288) x1
Ti (0.500, 0.000, 0.762) x1
Ti (0.500, 0.500, 0.276) x1
Mn (0.000, 0.000, 0.243) x1
Mn (0.000, 0.000, 0.748) x1
Mn (0.000, 0.500, 0.278) x1
Mn (0.000, 0.500, 0.766) x1
Mn (0.500, 0.500, 0.809) x1
O (0.000, 0.000, 0.493) x1
O (0.000, 0.000, 0.993) x1
O (0.000, 0.253, 0.768) x2
O (0.000, 0.259, 0.224) x2
O (0.000, 0.500, 0.526) x1
O (0.241, 0.500, 0.828) x2
O (0.247, 0.500, 0.298) x2
O (0.248, 0.000, 0.748) x2
O (0.288, 0.000, 0.184) x2
O (0.500, 0.000, 0.527) x1
O (0.500, 0.211, 0.869) x2
O (0.500, 0.252, 0.323) x2
O (0.500, 0.500, 0.053) x1
O (0.500, 0.500, 0.571) x1